Computed PXRD pattern
Compound: CuH6PtPb
Radiation: Cu Kα (weighted mean of Kα1 and Kα2)
Structure: the PBE geometry in Alexandria

Main lines, by angle (2θ = 10–90°):
2θ (°), intensity
21.4, 52
27.1, 78
28.0, 100
28.8, 67
35.9, 39
37.4, 35
37.7, 47
41.4, 18
42.5, 18
46.3, 26
48.5, 23
52.1, 19

Structural model:
abc: 4.775 4.775 5.013
angles: 92.01 92.01 119.45
Element x y z (fractional)
Cu: 0.000 0.000 0.000
H: 0.061 0.700 0.808
H: 0.072 0.372 0.193
H: 0.235 0.322 0.788
H: 0.300 0.939 0.192
H: 0.628 0.928 0.807
H: 0.678 0.765 0.212
Pt: 0.338 0.662 0.000
Pb: 0.605 0.395 0.500

=====

Computed PXRD pattern
Compound: NaAl12Zn4
Radiation: Cu Kα (weighted mean of Kα1 and Kα2)
Structure: the PBE geometry in Alexandria

Main lines, by angle (2θ = 10–90°):
2θ (°), intensity
20.1, 93
28.5, 93
32.0, 79
35.1, 29
38.1, 28
40.8, 19
45.9, 100
50.5, 86
52.8, 25
66.9, 27
70.6, 21
77.9, 16

Structural model:
abc: 7.661 7.661 7.661
angles: 109.47 109.47 109.47
Element x y z (fractional)
Na: 0.000 0.000 0.000
Al: 0.156 0.350 0.506
Al: 0.156 0.650 0.807
Al: 0.193 0.844 0.350
Al: 0.350 0.193 0.844
Al: 0.350 0.506 0.156
Al: 0.494 0.844 0.650
Al: 0.506 0.156 0.350
Al: 0.650 0.494 0.844
Al: 0.650 0.807 0.156
Al: 0.807 0.156 0.650
Al: 0.844 0.350 0.193
Al: 0.844 0.650 0.494
Zn: 0.000 0.000 0.500
Zn: 0.000 0.500 0.000
Zn: 0.500 0.000 0.000
Zn: 0.500 0.500 0.500

=====

Computed PXRD pattern
Compound: Cu5BiSe4
Radiation: Cu Kα (weighted mean of Kα1 and Kα2)
Structure: the PBE geometry in Alexandria

Main lines, by angle (2θ = 10–90°):
2θ (°), intensity
13.9, 30
28.1, 100
29.6, 46
32.6, 63
33.5, 30
34.4, 51
36.2, 36
43.6, 35
46.5, 29
46.6, 30
46.7, 41
47.4, 33

Structural model:
abc: 8.307 9.928 4.910
angles: 90.00 90.00 90.00
Element x y z (fractional)
Cu: 0.047 0.051 0.235
Cu: 0.047 0.449 0.235
Cu: 0.250 0.750 0.268
Cu: 0.453 0.051 0.235
Cu: 0.453 0.449 0.235
Cu: 0.547 0.551 0.765
Cu: 0.547 0.949 0.765
Cu: 0.750 0.250 0.732
Cu: 0.953 0.551 0.765
Cu: 0.953 0.949 0.765
Bi: 0.250 0.250 0.911
Bi: 0.750 0.750 0.089
Se: 0.007 0.250 0.501
Se: 0.250 0.555 0.957
Se: 0.250 0.945 0.957
Se: 0.493 0.250 0.501
Se: 0.507 0.750 0.499
Se: 0.750 0.055 0.043
Se: 0.750 0.445 0.043
Se: 0.993 0.750 0.499